Theoretical powder diffraction line list
Compound: V3Bi2
Radiation: copper Kα
Structure: DFT lattice parameters and positions (GGA-PBE)
Peak positions follow from Bragg's law for the DFT cell and can differ from measured ones.

Structure:
```
V3Bi2
1.0
10.113 0.000 0.000
0.000 10.113 0.000
0.000 0.000 4.016
V Bi
12 8
Cartesian
0.000 0.000 0.000
0.000 5.056 0.000
0.610 8.445 2.008
1.668 0.610 2.008
3.522 4.224 0.000
4.224 6.591 0.000
5.056 0.000 0.000
5.056 5.056 2.008
5.889 3.522 0.000
6.591 5.889 0.000
8.445 9.502 2.008
9.502 1.668 2.008
1.203 2.579 0.000
2.130 5.842 2.008
2.579 8.909 0.000
4.271 2.130 2.008
5.842 7.983 2.008
7.533 1.203 0.000
7.983 4.271 2.008
8.909 7.533 0.000
```

Peak list (6 most intense, 5 to 70 degrees two-theta, sorted by position)
| 2θ (°) | Rel. int. |
| --- | --- |
| 27.90 | 51 |
| 29.75 | 100 |
| 39.18 | 31 |
| 39.87 | 27 |
| 43.22 | 27 |
| 53.91 | 23 |

Theoretical powder diffraction line list
Compound: Mg14CdNi
Radiation: copper Kα
Structure: DFT lattice parameters and positions (GGA-PBE)
Peak positions follow from Bragg's law for the DFT cell and can differ from measured ones.

Structure:
```
Mg14CdNi
1.0
9.882 0.000 0.000
0.000 3.159 5.454
0.000 -3.159 5.454
Mg Cd Ni
14 1 1
Cartesian
0.000 0.000 0.000
0.000 -1.567 2.741
0.000 1.567 2.741
0.000 0.000 5.440
2.448 0.000 7.277
2.567 0.000 1.760
2.617 -1.636 4.590
2.617 1.636 4.590
4.941 -1.569 8.151
4.941 1.569 8.151
7.265 -1.636 4.590
7.265 1.636 4.590
7.315 0.000 1.760
7.434 0.000 7.277
4.941 0.000 5.489
4.941 0.000 0.016
```

Peak list (6 most intense, 5 to 70 degrees two-theta, sorted by position)
| 2θ (°) | Rel. int. |
| --- | --- |
| 8.95 | 43 |
| 18.58 | 20 |
| 32.79 | 28 |
| 36.37 | 24 |
| 37.63 | 100 |
| 49.76 | 17 |

Theoretical powder diffraction line list
Compound: Pu3Pb
Radiation: copper Kα
Structure: DFT lattice parameters and positions (GGA-PBE)
Peak positions follow from Bragg's law for the DFT cell and can differ from measured ones.

Structure:
```
Pu3Pb
1.0
4.792 0.000 0.000
0.000 4.792 0.000
0.000 0.000 4.792
Pu Pb
3 1
Cartesian
0.000 0.000 2.396
0.000 2.396 0.000
2.396 0.000 0.000
2.396 2.396 2.396
```

Peak list (5 most intense, 5 to 70 degrees two-theta, sorted by position)
| 2θ (°) | Rel. int. |
| --- | --- |
| 32.36 | 100 |
| 37.54 | 51 |
| 54.14 | 36 |
| 64.50 | 43 |
| 67.74 | 13 |

Theoretical powder diffraction line list
Compound: Np2Si4Tc3
Radiation: copper Kα
Structure: DFT lattice parameters and positions (GGA-PBE)
Peak positions follow from Bragg's law for the DFT cell and can differ from measured ones.

Structure:
```
Np2Si4Tc3
1.0
6.764 0.000 0.000
0.000 8.051 0.000
-1.386 0.000 5.490
Np Si Tc
4 8 6
Cartesian
1.558 0.454 0.403
0.865 3.572 3.148
4.513 4.479 2.342
3.820 7.597 5.087
0.150 6.028 1.513
-0.543 6.048 4.258
1.667 0.774 3.382
2.360 3.251 0.637
3.018 4.800 4.853
3.711 7.276 2.108
5.921 2.003 1.232
5.228 2.023 3.977
-0.693 0.000 2.745
0.000 4.025 0.000
2.466 5.692 0.637
1.773 6.384 3.382
3.605 1.667 2.108
2.911 2.359 4.853
```

Peak list (6 most intense, 5 to 70 degrees two-theta, sorted by position)
| 2θ (°) | Rel. int. |
| --- | --- |
| 19.57 | 60 |
| 28.87 | 56 |
| 30.23 | 88 |
| 32.12 | 71 |
| 36.17 | 100 |
| 36.93 | 98 |

Theoretical powder diffraction line list
Compound: CuBi2Se4O12
Radiation: copper Kα
Structure: DFT lattice parameters and positions (GGA-PBE)
Peak positions follow from Bragg's law for the DFT cell and can differ from measured ones.

Structure:
```
CuBi2Se4O12
1.0
4.483 0.000 0.000
0.000 16.317 0.000
-0.779 0.000 8.290
Cu Bi Se O
2 4 8 24
Cartesian
0.000 0.000 0.000
-0.390 8.158 4.145
2.212 3.718 0.262
1.822 4.440 4.407
1.882 11.876 3.883
1.492 12.599 8.028
-0.190 2.127 3.012
-0.580 6.032 7.157
1.417 1.154 6.263
1.806 7.004 2.118
1.898 9.313 6.172
2.288 15.162 2.027
4.284 10.285 1.133
3.895 14.190 5.278
0.207 11.782 0.274
-0.183 12.693 4.419
0.094 10.596 2.784
-0.296 13.879 6.929
0.373 8.563 5.932
0.762 15.913 1.787
0.734 1.180 7.855
1.124 6.979 3.710
1.518 2.471 3.132
1.128 5.687 7.277
1.521 11.039 6.163
1.911 13.436 2.018
1.793 2.880 6.273
2.183 5.278 2.128
2.576 10.629 1.013
2.186 13.846 5.158
2.581 9.338 4.581
2.970 15.137 0.436
2.942 0.404 6.503
3.332 7.754 2.358
4.000 2.438 1.361
3.611 5.721 5.506
3.887 3.624 3.871
3.497 4.535 8.016
```

Peak list (6 most intense, 5 to 70 degrees two-theta, sorted by position)
| 2θ (°) | Rel. int. |
| --- | --- |
| 10.84 | 100 |
| 22.71 | 73 |
| 24.08 | 91 |
| 24.32 | 70 |
| 30.08 | 70 |
| 30.75 | 63 |

Theoretical powder diffraction line list
Compound: Cr3GaN
Radiation: copper Kα
Structure: DFT lattice parameters and positions (GGA-PBE)
Peak positions follow from Bragg's law for the DFT cell and can differ from measured ones.

Structure:
```
Cr3GaN
1.0
3.829 0.000 0.000
0.000 3.829 0.000
0.000 0.000 3.829
Cr Ga N
3 1 1
Cartesian
0.000 0.000 1.915
0.000 1.915 0.000
1.915 0.000 0.000
1.915 1.915 1.915
0.000 0.000 0.000
```

Peak list (5 most intense, 5 to 70 degrees two-theta, sorted by position)
| 2θ (°) | Rel. int. |
| --- | --- |
| 33.08 | 6 |
| 40.82 | 100 |
| 47.49 | 58 |
| 59.10 | 2 |
| 69.42 | 33 |